Calculated powder diffraction line list of NaTiGaP2SO12 for CuKα, from a DFT-relaxed cell (GGA-PBE, the Materials Project).

Crystal structure
```
NaTiGaP2SO12
1.0
7.3895 -4.2735 0.0000
7.3895 4.2735 0.0000
-4.9097 0.0000 7.4297
Na Ti Ga P S O
2 2 2 4 2 24
direct
0.2455 0.7545 0.5000
0.7545 0.2455 0.0000
0.1056 0.6070 0.0581
0.6070 0.1056 0.5581
0.3886 0.9148 0.9398
0.9148 0.3886 0.4398
0.0041 0.7860 0.7435
0.2095 0.2893 0.2453
0.2893 0.2095 0.7453
0.7860 0.0041 0.2435
0.5040 0.7096 0.2447
0.7096 0.5040 0.7447
0.0246 0.7573 0.9137
0.0261 0.3203 0.2649
0.1174 0.2325 0.5774
0.1808 0.8134 0.7692
0.1868 0.4707 0.2239
0.2325 0.1174 0.0774
0.2566 0.3866 0.9136
0.3203 0.0261 0.7649
0.3318 0.6891 0.2293
0.3866 0.2566 0.4136
0.4707 0.1868 0.7239
0.4795 0.7329 0.0808
0.5230 0.8773 0.4084
0.5350 0.6694 0.7671
0.6173 0.9743 0.0749
0.6694 0.5350 0.2671
0.6891 0.3318 0.7293
0.7329 0.4795 0.5808
0.7573 0.0246 0.4137
0.8134 0.1808 0.2692
0.8242 0.9689 0.7234
0.8773 0.5230 0.9084
0.9689 0.8242 0.2234
0.9743 0.6173 0.5749
```

Main lines, sorted by position (2θ from 5° to 70°):
| 2θ/deg | I (rel.) |
| --- | --- |
| 14.37 | 35.7 |
| 19.95 | 49.2 |
| 20.80 | 65.8 |
| 24.02 | 100.0 |
| 24.07 | 46.6 |
| 28.98 | 47.4 |
| 31.93 | 87.7 |
| 36.45 | 31.8 |
| 49.22 | 31.9 |
| 57.07 | 22.4 |